Computed powder diffraction line list
Compound: Li3V3O5F3
Radiation: a wavelength of 1.5418 Å
Structure: a crystal structure in Alexandria, relaxed with GGA+U
Peak positions follow from Bragg's law for the DFT cell and can differ from measured ones.

Atomic structure:
Lattice parameters (Å, degrees): 5.9646 5.9646 5.8664 119.35 119.35 60.92
Fractional positions:
Li 0.0000 0.0000 0.0000
Li 0.0051 0.0051 0.5019
Li 0.3803 0.3803 0.6454
V 0.0112 0.5029 0.9946
V 0.5029 0.0112 0.9946
V 0.6211 0.6211 0.3655
O 0.2420 0.2420 0.7716
O 0.2504 0.7290 0.2408
O 0.7290 0.2504 0.2408
O 0.7462 0.7462 0.2279
O 0.7496 0.7496 0.7520
F 0.2450 0.2450 0.2380
F 0.2549 0.7775 0.7719
F 0.7775 0.2549 0.7719

Top 12 peaks for 2θ = 10–90°, sorted by position:
two_theta, Rel. int.
18.03, 18
18.40, 82
21.04, 67
29.95, 22
30.48, 38
35.04, 100
35.32, 42
42.76, 22
42.96, 44
57.14, 25
62.17, 29
62.28, 28